No. 1
This entry pairs a crystal structure of Ca3Si2O10 with its computed powder diffraction line list. Radiation: a wavelength of 1.5418 Å. Structure: a DFT-relaxed cell (GGA-PBE, Alexandria).
Peak positions follow from Bragg's law for the DFT cell and can differ from measured ones.

Largest 10 diffraction maxima, in order of falling intensity, 2θ = 10–80°:
h k l, d (Å), 2theta, I (rel.)
3 1 -3, 3.160, 28.2, 100
3 1 1, 2.911, 30.7, 71
2 0 0, 6.748, 13.1, 37
0 0 2, 4.943, 17.9, 29
7 1 -1, 1.984, 45.7, 24
2 2 -4, 1.989, 45.6, 23
5 1 -3, 2.692, 33.3, 22
2 0 2, 3.220, 27.7, 20
2 2 -1, 2.592, 34.6, 17
0 2 0, 2.739, 32.7, 17

```
data_Ca3Si2O10
_chemical_formula_sum 'Ca12 Si8 O40'
_cell_length_a 16.2257
_cell_length_b 5.4773
_cell_length_c 11.8655
_cell_angle_alpha 90.00
_cell_angle_beta 123.72
_cell_angle_gamma 90.00
_space_group_name_H-M_alt 'C 1 c 1'
_space_group_IT_number 9
_space_group_name_Hall 'C -2yc'
loop_
_atom_site_label
_atom_site_fract_x
_atom_site_fract_y
_atom_site_fract_z
_atom_site_occupancy
Ca1 0.0000 0.2404 0.0000 1
Ca2 0.2856 0.2405 0.8943 1
Ca3 0.3928 0.2502 0.6971 1
Si1 0.0055 0.3014 0.6907 1
Si2 0.2801 0.3011 0.2035 1
O1 0.0022 0.3921 0.8197 1
O2 0.1047 0.1461 0.4480 1
O3 0.1210 0.3214 0.7313 1
O4 0.1647 0.3210 0.1630 1
O5 0.1802 0.1461 0.4464 1
O6 0.2834 0.3919 0.0746 1
O7 0.3061 0.0142 0.2472 1
O8 0.3578 0.4832 0.3302 1
O9 0.4278 0.0166 0.0641 1
O10 0.4795 0.4854 0.1470 1
```



No. 2
This entry pairs a crystal structure of YCo4Sb with its computed powder diffraction line list. Radiation: a wavelength of 1.5418 Å. Structure: a DFT-relaxed cell (GGA-PBE, Alexandria).
Peak positions follow from Bragg's law for the DFT cell and can differ from measured ones.

Largest 10 diffraction maxima, in order of falling intensity, 2θ = 10–80°:
h k l, d (Å), 2theta, I (rel.)
3 1 1, 2.145, 42.1, 100
2 2 0, 2.516, 35.7, 48
5 1 1, 1.369, 68.5, 29
2 2 2, 2.054, 44.1, 24
4 4 0, 1.258, 75.6, 23
4 2 2, 1.452, 64.1, 17
1 1 1, 4.108, 21.6, 3
2 0 0, 3.558, 25.0, 1
3 3 1, 1.632, 56.4, 1
5 3 1, 1.203, 79.7, 1

```
data_YCo4Sb
_chemical_formula_sum 'Y4 Co16 Sb4'
_cell_length_a 7.1153
_cell_length_b 7.1153
_cell_length_c 7.1153
_cell_angle_alpha 90.00
_cell_angle_beta 90.00
_cell_angle_gamma 90.00
_space_group_name_H-M_alt 'F -4 3 m'
_space_group_IT_number 216
_space_group_name_Hall 'F -4 2 3'
loop_
_atom_site_label
_atom_site_fract_x
_atom_site_fract_y
_atom_site_fract_z
_atom_site_occupancy
Y1 0.0000 0.0000 0.0000 1
Co1 0.1249 0.1249 0.6249 1
Sb1 0.2500 0.2500 0.2500 1
```